(1)
For Sr8MnFe7O24, DFT lattice parameters and positions (GGA+U) gives the computed powder XRD pattern in this record (copper Kα).
Kinematic intensities with the Lorentz-polarization factor, no thermal factor.

Principal peaks in the range 2θ from 10° to 90°, sorted by position:
3.914 Å, 22.72°, rel. 1
2.767 Å, 32.35°, rel. 100
2.259 Å, 39.90°, rel. 13
1.957 Å, 46.40°, rel. 39
1.750 Å, 52.27°, rel. 1
1.598 Å, 57.70°, rel. 38
1.384 Å, 67.72°, rel. 22
1.238 Å, 77.06°, rel. 16
1.180 Å, 81.59°, rel. 4
1.130 Å, 86.06°, rel. 7

Structure:
```
Sr8MnFe7O24
1.0
7.8271 0.0000 0.0000
0.0000 7.8271 0.0000
0.0000 0.0000 7.8271
Sr Mn Fe O
8 1 7 24
Direct
0.2496 0.2496 0.2496 Sr
0.2496 0.2496 0.7504 Sr
0.2496 0.7504 0.2496 Sr
0.2496 0.7504 0.7504 Sr
0.7504 0.2496 0.2496 Sr
0.7504 0.2496 0.7504 Sr
0.7504 0.7504 0.2496 Sr
0.7504 0.7504 0.7504 Sr
0.0000 0.0000 0.0000 Mn
0.0000 0.0000 0.5000 Fe
0.0000 0.5000 0.0000 Fe
0.0000 0.5000 0.5000 Fe
0.5000 0.0000 0.0000 Fe
0.5000 0.0000 0.5000 Fe
0.5000 0.5000 0.0000 Fe
0.5000 0.5000 0.5000 Fe
0.0000 0.0000 0.2477 O
0.0000 0.0000 0.7523 O
0.0000 0.2477 0.0000 O
0.0000 0.2510 0.5000 O
0.0000 0.5000 0.2510 O
0.0000 0.5000 0.7490 O
0.0000 0.7490 0.5000 O
0.0000 0.7523 0.0000 O
0.2477 0.0000 0.0000 O
0.2499 0.5000 0.5000 O
0.2510 0.0000 0.5000 O
0.2510 0.5000 0.0000 O
0.5000 0.0000 0.2510 O
0.5000 0.0000 0.7490 O
0.5000 0.2499 0.5000 O
0.5000 0.2510 0.0000 O
0.5000 0.5000 0.2499 O
0.5000 0.5000 0.7501 O
0.5000 0.7490 0.0000 O
0.5000 0.7501 0.5000 O
0.7490 0.0000 0.5000 O
0.7490 0.5000 0.0000 O
0.7501 0.5000 0.5000 O
0.7523 0.0000 0.0000 O
```

(2)
For Sr6Mn3FeO14, DFT lattice parameters and positions (GGA+U) gives the computed powder XRD pattern in this record (copper Kα).
Kinematic intensities with the Lorentz-polarization factor, no thermal factor.

Principal peaks in the range 2θ from 10° to 90°, sorted by position:
2.811 Å, 31.84°, rel. 100
2.755 Å, 32.50°, rel. 67
2.136 Å, 42.31°, rel. 25
2.029 Å, 44.65°, rel. 16
1.948 Å, 46.62°, rel. 47
1.634 Å, 56.31°, rel. 15
1.601 Å, 57.57°, rel. 37
1.405 Å, 66.54°, rel. 17
1.378 Å, 68.03°, rel. 9
1.232 Å, 77.47°, rel. 10

Structure:
```
Sr6Mn3FeO14
1.0
5.5112 0.0000 0.0000
0.0000 2.7542 10.1467
0.0000 -2.7542 10.1467
Sr Mn Fe O
6 3 1 14
Direct
0.0000 0.9997 0.9997 Sr
0.0000 0.1831 0.1831 Sr
0.0000 0.3658 0.3658 Sr
0.5000 0.5000 0.5000 Sr
0.5000 0.6832 0.6832 Sr
0.5000 0.8659 0.8659 Sr
0.0000 0.5853 0.5853 Mn
0.0000 0.7805 0.7805 Mn
0.5000 0.0854 0.0854 Mn
0.5000 0.2802 0.2802 Fe
0.0000 0.4906 0.4906 O
0.0000 0.6821 0.6821 O
0.0000 0.8760 0.8760 O
0.2470 0.0260 0.5312 O
0.2470 0.5312 0.0260 O
0.2497 0.3371 0.8370 O
0.2497 0.8370 0.3371 O
0.5000 0.1814 0.1814 O
0.5000 0.3777 0.3777 O
0.5000 0.9900 0.9900 O
0.7503 0.3371 0.8370 O
0.7503 0.8370 0.3371 O
0.7530 0.0260 0.5312 O
0.7530 0.5312 0.0260 O
```

(3)
For Sr5MnFe4O10, DFT lattice parameters and positions (GGA+U) gives the computed powder XRD pattern in this record (copper Kα).
Kinematic intensities with the Lorentz-polarization factor, no thermal factor.

Principal peaks in the range 2θ from 10° to 90°, sorted by position:
2.826 Å, 31.67°, rel. 66
2.664 Å, 33.65°, rel. 91
2.636 Å, 34.01°, rel. 100
2.208 Å, 40.86°, rel. 17
2.022 Å, 44.82°, rel. 27
1.975 Å, 45.96°, rel. 29
1.770 Å, 51.64°, rel. 18
1.604 Å, 57.43°, rel. 35
1.586 Å, 58.15°, rel. 36
1.500 Å, 61.86°, rel. 22

Structure:
```
Sr5MnFe4O10
1.0
5.3032 0.0000 0.0000
-0.5781 5.2722 0.0000
-2.3570 -2.6393 20.2226
Sr Mn Fe O
10 2 8 20
Direct
0.0000 0.0000 0.0000 Sr
0.0955 0.0952 0.1929 Sr
0.2059 0.2063 0.4162 Sr
0.3035 0.3038 0.6091 Sr
0.4039 0.4020 0.8044 Sr
0.4995 0.4998 0.0000 Sr
0.5952 0.5953 0.1929 Sr
0.7061 0.7067 0.4162 Sr
0.8042 0.8038 0.6089 Sr
0.9031 0.9022 0.8045 Sr
0.1802 0.6802 0.3046 Mn
0.6803 0.1806 0.3043 Mn
0.0475 0.5472 0.0991 Fe
0.2523 0.7518 0.5100 Fe
0.3534 0.8534 0.7063 Fe
0.4516 0.9521 0.9027 Fe
0.5476 0.0472 0.0990 Fe
0.7522 0.2525 0.5098 Fe
0.8538 0.3535 0.7066 Fe
0.9511 0.4517 0.9026 Fe
0.0002 0.5004 0.0006 O
0.0074 0.0077 0.5107 O
0.0268 0.0270 0.3045 O
0.0826 0.5816 0.1978 O
0.1058 0.1054 0.7066 O
0.1892 0.6896 0.4112 O
0.2016 0.2020 0.9027 O
0.3019 0.8030 0.6083 O
0.3041 0.3040 0.0978 O
0.4053 0.9020 0.8044 O
0.5008 0.9996 0.0006 O
0.5086 0.5082 0.5107 O
0.5274 0.5275 0.3045 O
0.5819 0.0829 0.1979 O
0.6027 0.6018 0.7063 O
0.6894 0.1896 0.4111 O
0.7026 0.7018 0.9024 O
0.8040 0.3030 0.6084 O
0.8045 0.8040 0.0988 O
0.9031 0.4006 0.8046 O
```

(4)
For Sr5MnFe4O10, DFT lattice parameters and positions (GGA+U) gives the computed powder XRD pattern in this record (copper Kα).
Kinematic intensities with the Lorentz-polarization factor, no thermal factor.

Principal peaks in the range 2θ from 10° to 90°, sorted by position:
2.838 Å, 31.53°, rel. 36
2.638 Å, 33.98°, rel. 100
2.204 Å, 40.94°, rel. 10
2.010 Å, 45.11°, rel. 16
2.003 Å, 45.27°, rel. 16
1.751 Å, 52.26°, rel. 10
1.597 Å, 57.71°, rel. 31
1.596 Å, 57.78°, rel. 10
1.490 Å, 62.32°, rel. 11
1.419 Å, 65.83°, rel. 9

Structure:
```
Sr5MnFe4O10
1.0
3.5010 0.0000 0.0000
-0.0003 8.0389 0.0000
-0.0026 -4.0177 20.0327
Sr Mn Fe O
10 2 8 20
Direct
0.0000 0.0000 0.0000 Sr
0.0000 0.0993 0.1993 Sr
0.0000 0.1998 0.4036 Sr
0.9996 0.3012 0.6053 Sr
0.9998 0.4953 0.9998 Sr
0.0000 0.5949 0.1992 Sr
0.0001 0.6987 0.4035 Sr
0.0003 0.8987 0.8024 Sr
0.0010 0.7992 0.6051 Sr
0.9987 0.3987 0.8022 Sr
0.4995 0.4996 0.5041 Mn
0.5008 0.9996 0.5043 Mn
0.4992 0.1984 0.9013 Fe
0.5002 0.0986 0.7035 Fe
0.4999 0.2972 0.0996 Fe
0.4999 0.3980 0.3011 Fe
0.5000 0.5995 0.7043 Fe
0.5004 0.6984 0.9011 Fe
0.5000 0.7972 0.0995 Fe
0.5000 0.8982 0.3013 Fe
0.4954 0.3483 0.7035 O
0.4967 0.1489 0.8021 O
0.4969 0.5513 0.6068 O
0.4991 0.4477 0.9007 O
0.5000 0.0508 0.0999 O
0.4999 0.1467 0.3016 O
0.4999 0.2402 0.5039 O
0.4999 0.2481 0.0002 O
0.5000 0.3472 0.1988 O
0.4997 0.4484 0.4016 O
0.4999 0.5440 0.1000 O
0.5000 0.6501 0.3016 O
0.4999 0.7467 0.9993 O
0.5001 0.8473 0.1995 O
0.5005 0.9493 0.9018 O
0.5002 0.9504 0.4058 O
0.5009 0.7586 0.5040 O
0.5022 0.0506 0.6037 O
0.5032 0.6495 0.8027 O
0.5049 0.8504 0.7035 O
```

(5)
For TaMn2FeO6, DFT lattice parameters and positions (GGA+U) gives the computed powder XRD pattern in this record (copper Kα).
Kinematic intensities with the Lorentz-polarization factor, no thermal factor.

Principal peaks in the range 2θ from 10° to 90°, sorted by position:
4.677 Å, 18.98°, rel. 16
4.392 Å, 20.22°, rel. 47
3.861 Å, 23.03°, rel. 59
2.795 Å, 32.03°, rel. 100
2.670 Å, 33.56°, rel. 85
2.319 Å, 38.84°, rel. 23
1.931 Å, 47.07°, rel. 45
1.759 Å, 51.98°, rel. 35
1.565 Å, 59.04°, rel. 37
1.542 Å, 60.01°, rel. 27

Structure:
```
TaMn2FeO6
1.0
2.6702 1.5417 4.6767
-2.6702 1.5417 4.6767
0.0000 -3.0833 4.6767
Ta Mn Fe O
1 2 1 6
Direct
0.0000 0.0000 0.0000 Ta
0.2797 0.2797 0.2797 Mn
0.7835 0.7835 0.7835 Mn
0.5017 0.5017 0.5017 Fe
0.1248 0.3562 0.7295 O
0.2208 0.8617 0.6317 O
0.3562 0.7295 0.1248 O
0.6317 0.2208 0.8617 O
0.7295 0.1248 0.3562 O
0.8617 0.6317 0.2208 O
```

(6)
For Ta6Mn2FeO18, DFT lattice parameters and positions (GGA+U) gives the computed powder XRD pattern in this record (copper Kα).
Kinematic intensities with the Lorentz-polarization factor, no thermal factor.

Principal peaks in the range 2θ from 10° to 90°, sorted by position:
4.678 Å, 18.97°, rel. 11
4.292 Å, 20.69°, rel. 29
3.416 Å, 26.09°, rel. 100
2.758 Å, 32.46°, rel. 10
2.620 Å, 34.23°, rel. 81
2.415 Å, 37.23°, rel. 25
1.776 Å, 51.46°, rel. 65
1.710 Å, 53.59°, rel. 8
1.431 Å, 65.21°, rel. 19
1.418 Å, 65.84°, rel. 14

Structure:
```
Ta6Mn2FeO18
1.0
9.9576 -3.4203 0.0000
9.9576 3.4203 0.0000
-6.4538 0.0000 9.6138
Ta Mn Fe O
12 4 2 36
Direct
0.0563 0.0563 0.4432 Ta
0.0560 0.0560 0.9438 Ta
0.2763 0.2763 0.2237 Ta
0.2771 0.2771 0.7214 Ta
0.3888 0.3888 0.1110 Ta
0.3890 0.3890 0.6103 Ta
0.6110 0.6110 0.3897 Ta
0.6112 0.6112 0.8890 Ta
0.7229 0.7229 0.2786 Ta
0.7237 0.7237 0.7763 Ta
0.9440 0.9440 0.0562 Ta
0.9437 0.9437 0.5568 Ta
0.1670 0.1670 0.8334 Mn
0.5000 0.5000 0.0000 Mn
0.5000 0.5000 0.5000 Mn
0.8330 0.8330 0.1666 Mn
0.1663 0.1663 0.3332 Fe
0.8337 0.8337 0.6668 Fe
0.0193 0.4343 0.2732 O
0.0371 0.0371 0.7563 O
0.0624 0.0624 0.1248 O
0.1015 0.6862 0.6064 O
0.1488 0.5170 0.1667 O
0.1584 0.1584 0.6343 O
0.1748 0.1748 0.0321 O
0.1840 0.8160 0.5000 O
0.2316 0.6468 0.0610 O
0.2700 0.2700 0.5399 O
0.2966 0.2966 0.9100 O
0.3138 0.8985 0.3936 O
0.3532 0.7684 0.9390 O
0.3701 0.3701 0.4226 O
0.3943 0.3943 0.7884 O
0.4343 0.0193 0.2732 O
0.4830 0.8512 0.8333 O
0.4919 0.4919 0.3014 O
0.5081 0.5081 0.6986 O
0.5170 0.1488 0.1667 O
0.5657 0.9807 0.7268 O
0.6057 0.6057 0.2116 O
0.6299 0.6299 0.5774 O
0.6468 0.2316 0.0610 O
0.6862 0.1015 0.6064 O
0.7034 0.7034 0.0900 O
0.7300 0.7300 0.4601 O
0.7684 0.3532 0.9390 O
0.8160 0.1840 0.5000 O
0.8252 0.8252 0.9679 O
0.8416 0.8416 0.3657 O
0.8512 0.4830 0.8333 O
0.8985 0.3138 0.3936 O
0.9376 0.9376 0.8752 O
0.9629 0.9629 0.2437 O
0.9807 0.5657 0.7268 O
```